Structure and calculated XRD peak list of Mg3Bi2 (a structure optimized by DFT (PBE); λ = 1.5418 Å (Cu Kα)).

Crystal structure
```
data_Mg3Bi2
_chemical_formula_sum 'Mg48 Bi32'
_symmetry_space_group_name_H-M 'I a -3'
_symmetry_Int_Tables_number 206
_symmetry_space_group_name_Hall '-I 2b 2c 3'
_cell_length_a 13.7659
_cell_length_b 13.7659
_cell_length_c 13.7659
_cell_angle_alpha 90.00
_cell_angle_beta 90.00
_cell_angle_gamma 90.00
loop_
_atom_site_label
_atom_site_type_symbol
_atom_site_fract_x
_atom_site_fract_y
_atom_site_fract_z
_atom_site_occupancy
Mg1 Mg 0.1138 0.1314 0.6264 1
Bi1 Bi 0.0000 0.0000 0.0000 1
Bi2 Bi 0.0000 0.2500 0.2617 1
```

The 10 most intense peaks (5° ≤ 2θ ≤ 70°), sorted by position:
hkl 2 1 1, 15.8 deg, intensity 3; hkl 2 2 2, 22.4 deg, intensity 100; hkl 4 0 0, 25.9 deg, intensity 34; hkl 4 4 0, 36.9 deg, intensity 59; hkl 6 2 2, 43.6 deg, intensity 52; hkl 4 4 4, 45.7 deg, intensity 10; hkl 8 0 0, 53.2 deg, intensity 10; hkl 6 6 2, 58.4 deg, intensity 21; hkl 8 4 0, 60.1 deg, intensity 14; hkl 8 4 4, 66.6 deg, intensity 19